CaMn3V4O12: simulated powder diffractogram (λ = 1.5418 Å (Cu Kα)), based on a DFT-relaxed cell (GGA+U, Alexandria).
Peak positions follow from Bragg's law for the DFT cell and can differ from measured ones.

Atomic structure:
Cell: 6.519 6.524 6.525 Å, 110.00 109.70 108.53°
Space group P-1 (No. 2)
Asymmetric unit:
Ca (0.000, 0.000, 0.000) x1
Mn (0.000, 0.500, 0.500) x1
Mn (0.500, 0.000, 0.500) x1
Mn (0.500, 0.500, 0.000) x1
V (0.000, 0.000, 0.500) x1
V (0.000, 0.500, 0.000) x1
V (0.500, 0.000, 0.000) x1
V (0.500, 0.500, 0.500) x1
O (0.109, 0.304, 0.816) x2
O (0.175, 0.893, 0.697) x2
O (0.179, 0.469, 0.289) x2
O (0.311, 0.818, 0.128) x2
O (0.313, 0.184, 0.494) x2
O (0.493, 0.307, 0.200) x2

The 10 most intense peaks (10° ≤ 2θ ≤ 80°), most intense first:
hkl  2theta  I/Imax
2 0 0  33.5  100.0
0 0 2  33.8  57.4
2 0 -2  33.6  31.3
2 -4 2  60.3  23.8
0 4 -2  59.8  23.3
2 0 -4  60.4  22.9
2 2 -2  47.8  20.9
-2 2 2  48.7  20.6
2 -2 2  48.5  19.6
2 0 2  60.2  15.3